TmMn2O6: computed PXRD pattern (Cu Kα, 1.54184 Å), based on the GGA+U geometry in Alexandria.
Peak positions follow from Bragg's law for the DFT cell and can differ from measured ones.

Atomic structure:
abc: 4.9991 4.9991 4.7738
angles: 90.00 90.00 120.00
Space group P-31m (No. 162)
Asymmetric unit:
Tm 0.0000 0.0000 0.0000 (multiplicity 1)
Mn 0.3333 0.6667 0.5000 (multiplicity 2)
O 0.0000 0.3618 0.7203 (multiplicity 6)

Main lines, most intense first (2θ from 15° to 90°):
2θ (°)	I_rel
27.8	100
53.1	32
35.9	27
46.0	24
59.7	22
20.5	20